For Li2CuPO4, a structure optimized by DFT (GGA-PBE) gives the calculated powder XRD pattern in this record (Cu Kα (weighted mean of Kα1 and Kα2)).
Neutral-atom scattering factors, no anomalous dispersion.

The 6 most intense peaks (5° ≤ 2θ ≤ 70°), in order of rising 2θ:
21.82°, I = 75, (0 1 1)
22.73°, I = 100, (1 0 -2)
28.13°, I = 31, (1 1 -2)
33.40°, I = 53, (0 1 2)
35.50°, I = 42, (2 0 -2)
37.97°, I = 44, (1 1 -3)

Crystal structure
```
data_Li2CuPO4
_chemical_formula_sum 'Li4 Cu2 P2 O8'
_symmetry_space_group_name_H-M 'P 1 c 1'
_symmetry_Int_Tables_number 7
_cell_length_a 5.0573
_cell_length_b 5.4177
_cell_length_c 7.9821
_cell_angle_alpha 90.00
_cell_angle_beta 129.31
_cell_angle_gamma 90.00
loop_
_symmetry_equiv_pos_as_xyz
'x,y,z'
'x,-y,z+1/2'
loop_
_atom_site_label
_atom_site_type_symbol
_atom_site_fract_x
_atom_site_fract_y
_atom_site_fract_z
Li1 Li 0.0000 0.1520 0.0000
Li2 Li 0.2520 0.3286 0.7529
Cu1 Cu 0.7525 0.3440 0.2447
P1 P 0.5035 0.1705 0.5000
O1 O 0.2069 0.3143 0.2924
O2 O 0.3850 0.0988 0.9898
O3 O 0.5983 0.2966 0.7085
O4 O 0.8206 0.1699 0.5096
```